Entry 1:
Diffraction record for DyPdAu3. The powder diffraction line list is computed, not measured: it uses the PBE geometry in Alexandria and Cu Kα X-rays.
Intensities are scaled so that the largest is 100.

Principal peaks in the range 2θ from 10° to 90°, in order of rising 2θ:
index	2θ/deg	d (Å)	I_rel
3 0 -2	36.8	2.441	52
2 0 2	37.1	2.422	100
0 2 2	37.2	2.416	48
1 0 -4	39.2	2.300	49
2 2 0	40.0	2.254	44
3 2 0	49.4	1.843	17

Structure:
Lattice parameters (Å, degrees): 7.541 5.800 9.199 90.00 108.20 90.00
Space group P2_1/c (No. 14)
Asymmetric unit:
1 Dy 0.208 0.004 0.303
2 Pd 0.385 0.248 0.596
3 Au 0.002 0.750 0.000
4 Au 0.236 0.502 0.311
5 Au 0.396 0.749 0.598



Entry 2:
Diffraction record for DyPd5Au8. The powder diffraction line list is computed, not measured: it uses the PBE geometry in Alexandria and Cu Kα X-rays.
Intensities are scaled so that the largest is 100.

Principal peaks in the range 2θ from 10° to 90°, in order of rising 2θ:
index	2θ/deg	d (Å)	I_rel
1 0 3	34.0	2.637	78
3 0 1	35.7	2.517	79
1 3 0	35.9	2.503	63
2 1 3	41.1	2.195	100
1 3 2	42.0	2.150	80
3 2 1	42.6	2.124	74

Structure:
Lattice parameters (Å, degrees): 7.916 7.916 8.392 90.00 90.00 90.00
Space group I-4 (No. 82)
Asymmetric unit:
1 Dy 0.000 0.000 0.000
2 Pd 0.000 0.500 0.750
3 Pd 0.126 0.291 0.329
4 Au 0.066 0.166 0.668
5 Au 0.109 0.339 0.008



Entry 3:
Diffraction record for DyPd3Au3. The powder diffraction line list is computed, not measured: it uses the PBE geometry in Alexandria and Cu Kα X-rays.
Intensities are scaled so that the largest is 100.

Principal peaks in the range 2θ from 10° to 90°, in order of rising 2θ:
index	2θ/deg	d (Å)	I_rel
0 0 2	27.0	3.302	20
2 0 0	27.2	3.279	20
2 0 -2	38.0	2.367	58
2 0 2	39.4	2.288	48
0 2 2	40.2	2.246	100
2 2 0	40.3	2.238	99

Structure:
Lattice parameters (Å, degrees): 6.561 6.127 6.607 90.00 91.95 90.00
Space group P2/m (No. 10)
Asymmetric unit:
1 Dy 0.231 0.000 0.231
2 Pd 0.000 0.256 0.500
3 Pd 0.500 0.255 0.000
4 Pd 0.500 0.267 0.500
5 Au 0.218 0.500 0.217
6 Au 0.226 0.500 0.775
7 Au 0.250 0.000 0.750



Entry 4:
Diffraction record for Dy2PdAu6. The powder diffraction line list is computed, not measured: it uses the PBE geometry in Alexandria and Cu Kα X-rays.
Intensities are scaled so that the largest is 100.

Principal peaks in the range 2θ from 10° to 90°, in order of rising 2θ:
index	2θ/deg	d (Å)	I_rel
3 1 -2	35.5	2.528	100
3 1 1	37.4	2.407	90
6 0 -1	40.1	2.247	36
0 0 3	41.4	2.181	34
0 2 0	45.4	2.000	26
0 2 3	63.1	1.474	20

Structure:
Lattice parameters (Å, degrees): 13.528 3.999 7.108 90.00 112.99 90.00
Space group C2/m (No. 12)
Asymmetric unit:
1 Dy 0.062 0.000 0.318
2 Pd 0.000 0.500 0.000
3 Au 0.105 0.500 0.673
4 Au 0.164 0.000 0.002
5 Au 0.227 0.500 0.324



Entry 5:
Diffraction record for DyTlPdAu. The powder diffraction line list is computed, not measured: it uses the PBE geometry in Alexandria and Cu Kα X-rays.
Intensities are scaled so that the largest is 100.

Principal peaks in the range 2θ from 10° to 90°, in order of rising 2θ:
index	2θ/deg	d (Å)	I_rel
1 1 1	22.1	4.020	5
2 2 0	36.5	2.462	100
4 0 0	52.6	1.741	18
4 2 2	65.7	1.421	36
4 4 0	77.6	1.231	11
6 2 0	88.9	1.101	17

Structure:
Lattice parameters (Å, degrees): 6.962 6.962 6.962 90.00 90.00 90.00
Space group F-43m (No. 216)
Asymmetric unit:
1 Dy 0.000 0.000 0.000
2 Tl 0.000 0.000 0.500
3 Pd 0.250 0.250 0.250
4 Au 0.250 0.250 0.750



Entry 6:
Diffraction record for DyTmPdAu. The powder diffraction line list is computed, not measured: it uses the PBE geometry in Alexandria and Cu Kα X-rays.
Intensities are scaled so that the largest is 100.

Principal peaks in the range 2θ from 10° to 90°, in order of rising 2θ:
index	2θ/deg	d (Å)	I_rel
1 1 1	32.0	2.797	100
0 0 4	33.9	2.645	30
2 0 0	38.7	2.325	35
1 0 4	39.2	2.299	22
1 1 3	40.3	2.240	70
2 2 4	74.6	1.272	18

Structure:
Lattice parameters (Å, degrees): 4.651 3.711 10.581 90.00 90.00 90.00
Space group Amm2 (No. 38)
Asymmetric unit:
1 Dy 0.000 0.000 0.000
2 Tm 0.500 0.000 0.277
3 Pd 0.000 0.000 0.728
4 Au 0.500 0.000 0.554



Entry 7:
Diffraction record for PmDyAu4. The powder diffraction line list is computed, not measured: it uses the PBE geometry in Alexandria and Cu Kα X-rays.
Intensities are scaled so that the largest is 100.

Principal peaks in the range 2θ from 10° to 90°, in order of rising 2θ:
index	2θ/deg	d (Å)	I_rel
1 1 0	33.4	2.683	70
1 0 3	37.8	2.379	100
2 0 0	48.0	1.897	26
2 1 3	62.6	1.483	46
1 1 6	71.0	1.327	16
3 1 0	80.0	1.200	12

Structure:
Lattice parameters (Å, degrees): 3.794 3.794 9.162 90.00 90.00 90.00
Space group P4/mmm (No. 123)
Asymmetric unit:
1 Pm 0.000 0.000 0.000
2 Dy 0.500 0.500 0.500
3 Au 0.000 0.000 0.339
4 Au 0.500 0.500 0.170



Entry 8:
Diffraction record for Pm2DyAu3. The powder diffraction line list is computed, not measured: it uses the PBE geometry in Alexandria and Cu Kα X-rays.
Intensities are scaled so that the largest is 100.

Principal peaks in the range 2θ from 10° to 90°, in order of rising 2θ:
index	2θ/deg	d (Å)	I_rel
0 6 0	34.4	2.604	20
2 0 0	34.7	2.587	100
2 6 0	49.7	1.835	14
1 9 1	61.9	1.500	14
3 3 1	62.2	1.493	22
4 0 0	73.2	1.293	11

Structure:
Lattice parameters (Å, degrees): 5.173 15.625 3.646 90.00 90.00 90.00
Space group Pmmn (No. 59, origin choice 2)
Asymmetric unit:
1 Pm 0.250 0.083 0.001
2 Dy 0.250 0.750 0.999
3 Au 0.250 0.250 0.501
4 Au 0.250 0.591 0.500



Entry 9:
Diffraction record for PmDy4Au5. The powder diffraction line list is computed, not measured: it uses the PBE geometry in Alexandria and Cu Kα X-rays.
Intensities are scaled so that the largest is 100.

Principal peaks in the range 2θ from 10° to 90°, in order of rising 2θ:
index	2θ/deg	d (Å)	I_rel
1 0 5	34.9	2.568	100
1 1 0	35.4	2.537	49
2 0 0	50.9	1.794	18
1 1 10	62.4	1.489	18
2 1 5	63.2	1.470	36
2 0 10	73.8	1.284	11

Structure:
Lattice parameters (Å, degrees): 3.587 3.587 18.384 90.00 90.00 90.00
Space group P4/mmm (No. 123)
Asymmetric unit:
1 Pm 0.000 0.000 0.000
2 Dy 0.000 0.000 0.203
3 Dy 0.000 0.000 0.401
4 Au 0.500 0.500 0.108
5 Au 0.500 0.500 0.302
6 Au 0.500 0.500 0.500



Entry 10:
Diffraction record for Pm2DyAu6. The powder diffraction line list is computed, not measured: it uses the PBE geometry in Alexandria and Cu Kα X-rays.
Intensities are scaled so that the largest is 100.

Principal peaks in the range 2θ from 10° to 90°, in order of rising 2θ:
index	2θ/deg	d (Å)	I_rel
1 1 1	31.4	2.852	22
2 0 1	35.1	2.557	100
0 1 2	36.2	2.483	30
0 2 2	45.5	1.992	24
2 2 0	55.1	1.668	21
1 2 3	66.6	1.404	18

Structure:
Lattice parameters (Å, degrees): 6.6714 6.6714 5.4992 90.00 90.00 120.00
Space group P-3m1 (No. 164)
Asymmetric unit:
1 Pm 0.3333 0.6667 0.1644
2 Dy 0.0000 0.0000 0.0000
3 Au 0.1892 0.3785 0.6763



Entry 11:
Diffraction record for PrDyAu. The powder diffraction line list is computed, not measured: it uses the PBE geometry in Alexandria and Cu Kα X-rays.
Intensities are scaled so that the largest is 100.

Principal peaks in the range 2θ from 10° to 90°, in order of rising 2θ:
index	2θ/deg	d (Å)	I_rel
1 1 1	28.5	3.127	82
1 0 2	30.4	2.940	56
1 1 2	35.6	2.519	100
2 0 0	36.8	2.442	100
1 0 3	41.2	2.194	47
2 1 3	56.4	1.632	37

Structure:
Lattice parameters (Å, degrees): 4.884 4.884 7.365 90.00 90.00 90.00
Space group P4/nmm (No. 129, origin choice 2)
Asymmetric unit:
1 Pr 0.250 0.250 0.121
2 Dy 0.250 0.750 0.500
3 Au 0.250 0.250 0.723



Entry 12:
Diffraction record for PrDy2Au. The powder diffraction line list is computed, not measured: it uses the PBE geometry in Alexandria and Cu Kα X-rays.
Intensities are scaled so that the largest is 100.

Principal peaks in the range 2θ from 10° to 90°, in order of rising 2θ:
index	2θ/deg	d (Å)	I_rel
1 1 2	30.9	2.893	100
2 2 0	31.1	2.879	71
1 3 1	32.5	2.758	46
2 2 1	33.9	2.644	57
1 2 2	34.6	2.590	66
2 3 0	37.1	2.425	59

Structure:
Lattice parameters (Å, degrees): 7.019 10.065 6.693 90.00 90.00 90.00
Space group Pnma (No. 62)
Asymmetric unit:
1 Pr 0.001 0.250 0.130
2 Dy 0.185 0.052 0.677
3 Au 0.107 0.750 0.425